No. 1
Structure and theoretical X-ray powder pattern of Na2PtBr6 (a crystal structure in Alexandria, relaxed with GGA-PBE; Cu Kα X-rays).

Cell and atoms:
```
data_Na2PtBr6
_symmetry_space_group_name_H-M 'P 1 21/c 1'
_symmetry_Int_Tables_number 14
_cell_length_a 7.0383
_cell_length_b 7.3372
_cell_length_c 12.2144
_cell_angle_alpha 90.00
_cell_angle_beta 124.02
_cell_angle_gamma 90.00
loop_
_symmetry_equiv_pos_as_xyz
'x,y,z'
'-x,-y,-z'
'-x,y+1/2,-z+1/2'
'x,-y+1/2,z+1/2'
loop_
_atom_site_label
_atom_site_type_symbol
_atom_site_fract_x
_atom_site_fract_y
_atom_site_fract_z
_atom_site_occupancy
Na1 Na 0.2055 0.0935 0.2338 1
Pt1 Pt 0.5000 0.0000 0.0000 1
Br1 Br 0.1583 0.1875 0.9436 1
Br2 Br 0.2695 0.7134 0.9494 1
Br3 Br 0.3766 0.0184 0.7635 1
```

The 10 most intense peaks (10 to 90 degrees two-theta), in order of rising 2θ:
hkl 0 1 1, d 5.941, intensity 88; hkl 1 0 0, d 5.833, intensity 39; hkl 1 0 -2, d 5.724, intensity 41; hkl 1 1 -1, d 5.073, intensity 100; hkl 1 2 0, d 3.106, intensity 41; hkl 2 1 -1, d 3.043, intensity 42; hkl 1 0 -4, d 3.019, intensity 49; hkl 2 2 -2, d 2.539, intensity 37; hkl 2 2 0, d 2.282, intensity 26; hkl 1 1 -5, d 2.254, intensity 27

=====

No. 2
Structure and theoretical X-ray powder pattern of Tb2UAgS6 (a crystal structure in Alexandria, relaxed with GGA-PBE; Cu Kα X-rays).

Cell and atoms:
```
data_Tb2UAgS6
_symmetry_space_group_name_H-M 'P 4 m m'
_symmetry_Int_Tables_number 99
_cell_length_a 6.2843
_cell_length_b 6.2843
_cell_length_c 6.6547
_cell_angle_alpha 90.00
_cell_angle_beta 90.00
_cell_angle_gamma 90.00
loop_
_symmetry_equiv_pos_as_xyz
'x,y,z'
'-y,x,z'
'-x,-y,z'
'y,-x,z'
'-x,y,z'
'y,x,z'
'x,-y,z'
'-y,-x,z'
loop_
_atom_site_label
_atom_site_type_symbol
_atom_site_fract_x
_atom_site_fract_y
_atom_site_fract_z
_atom_site_occupancy
Tb1 Tb 0.0000 0.5000 0.0000 1
U1 U 0.0000 0.0000 0.5994 1
Ag1 Ag 0.5000 0.5000 0.5137 1
S1 S 0.0000 0.0000 0.1992 1
S2 S 0.2565 0.2565 0.7612 1
S3 S 0.5000 0.5000 0.1551 1
```

The 10 most intense peaks (10 to 90 degrees two-theta), in order of rising 2θ:
hkl 0 0 1, d 6.655, intensity 15; hkl 1 1 1, d 3.696, intensity 100; hkl 2 0 0, d 3.142, intensity 33; hkl 1 1 2, d 2.663, intensity 14; hkl 2 0 2, d 2.285, intensity 35; hkl 2 2 0, d 2.222, intensity 28; hkl 1 1 3, d 1.985, intensity 13; hkl 3 1 1, d 1.904, intensity 33; hkl 4 0 0, d 1.571, intensity 10; hkl 4 2 2, d 1.295, intensity 11

=====

No. 3
Structure and theoretical X-ray powder pattern of Tb7PrSm3 (a crystal structure in Alexandria, relaxed with GGA-PBE; Cu Kα X-rays).

Cell and atoms:
```
data_Tb7PrSm3
_symmetry_space_group_name_H-M 'P -1'
_symmetry_Int_Tables_number 2
_cell_length_a 5.5885
_cell_length_b 7.0047
_cell_length_c 10.0278
_cell_angle_alpha 70.09
_cell_angle_beta 90.00
_cell_angle_gamma 89.94
loop_
_symmetry_equiv_pos_as_xyz
'x,y,z'
'-x,-y,-z'
loop_
_atom_site_label
_atom_site_type_symbol
_atom_site_fract_x
_atom_site_fract_y
_atom_site_fract_z
_atom_site_occupancy
Tb1 Tb 0.0000 0.0000 0.0000 1
Tb2 Tb 0.0001 0.4203 0.1696 1
Tb3 Tb 0.4999 0.1466 0.7113 1
Tb4 Tb 0.5000 0.3214 0.3597 1
Pr1 Pr 0.0000 0.0000 0.5000 1
Sm1 Sm 0.0000 0.5000 0.5000 1
Sm2 Sm 0.4996 0.2809 0.0018 1
```

The 10 most intense peaks (10 to 90 degrees two-theta), in order of rising 2θ:
hkl 1 -1 2, d 2.863, intensity 35; hkl 1 2 0, d 2.843, intensity 78; hkl 1 -2 0, d 2.836, intensity 39; hkl 1 2 2, d 2.824, intensity 93; hkl 2 0 0, d 2.795, intensity 100; hkl 1 0 3, d 2.739, intensity 77; hkl 2 2 3, d 1.977, intensity 18; hkl 3 -2 0, d 1.620, intensity 21; hkl 1 2 -4, d 1.598, intensity 19; hkl 2 4 2, d 1.484, intensity 20

=====

No. 4
Structure and theoretical X-ray powder pattern of TbCo3H6 (a crystal structure in Alexandria, relaxed with GGA-PBE; Cu Kα X-rays).

Cell and atoms:
```
data_TbCo3H6
_symmetry_space_group_name_H-M 'R 3'
_symmetry_Int_Tables_number 146
_symmetry_space_group_name_Hall 'R 3'
_cell_length_a 4.3804
_cell_length_b 4.3804
_cell_length_c 14.1400
_cell_angle_alpha 90.00
_cell_angle_beta 90.00
_cell_angle_gamma 120.00
loop_
_atom_site_label
_atom_site_type_symbol
_atom_site_fract_x
_atom_site_fract_y
_atom_site_fract_z
_atom_site_occupancy
Tb1 Tb 0.0000 0.0000 0.0000 1
Co1 Co 0.0000 0.0000 0.2075 1
Co2 Co 0.0000 0.0000 0.5410 1
Co3 Co 0.0000 0.0000 0.8118 1
H1 H 0.0029 0.5070 0.9495 1
H2 H 0.0408 0.3396 0.1322 1
```

The 10 most intense peaks (10 to 90 degrees two-theta), in order of rising 2θ:
hkl 1 0 1, d 3.664, intensity 64; hkl 0 1 2, d 3.343, intensity 36; hkl 1 0 4, d 2.586, intensity 73; hkl 0 1 5, d 2.267, intensity 64; hkl 1 1 0, d 2.190, intensity 100; hkl 0 2 4, d 1.671, intensity 19; hkl 1 1 6, d 1.604, intensity 31; hkl 2 0 5, d 1.575, intensity 20; hkl 2 1 4, d 1.329, intensity 17; hkl 1 2 5, d 1.279, intensity 19